Zr2Tl2Cu2NiPd: simulated powder XRD pattern (a wavelength of 1.5418 Å), based on a PBE-relaxed structure.
Intensities are scaled so that the largest is 100.

Crystal structure
```
data_Zr2Tl2Cu2NiPd
_chemical_formula_sum 'Zr2 Tl2 Cu2 Ni1 Pd1'
_symmetry_space_group_name_H-M 'P -4 m 2'
_symmetry_Int_Tables_number 115
_symmetry_space_group_name_Hall 'P -4 -2'
_cell_length_a 4.5741
_cell_length_b 4.5741
_cell_length_c 6.5553
_cell_angle_alpha 90.00
_cell_angle_beta 90.00
_cell_angle_gamma 90.00
loop_
_atom_site_label
_atom_site_fract_x
_atom_site_fract_y
_atom_site_fract_z
Zr1 0.0000 0.5000 0.2398
Tl1 0.0000 0.5000 0.7559
Cu1 0.0000 0.0000 0.0000
Cu2 0.5000 0.5000 0.5000
Ni1 0.5000 0.5000 0.0000
Pd1 0.0000 0.0000 0.5000
```

The 10 most intense peaks (10° ≤ 2θ ≤ 90°), in order of rising 2θ:
| two_theta | d (Å) | I/Imax | hkl |
| --- | --- | --- | --- |
| 23.72 | 3.751 | 20 | 1 0 1 |
| 27.58 | 3.234 | 12 | 1 1 0 |
| 39.13 | 2.302 | 100 | 1 1 2 |
| 39.40 | 2.287 | 49 | 2 0 0 |
| 46.51 | 1.953 | 7 | 2 1 1 |
| 56.12 | 1.639 | 8 | 0 0 4 |
| 56.94 | 1.617 | 17 | 2 2 0 |
| 70.72 | 1.332 | 17 | 2 0 4 |
| 71.26 | 1.323 | 33 | 3 1 2 |
| 84.09 | 1.151 | 10 | 2 2 4 |

TmMg: simulated powder XRD pattern (a wavelength of 1.5418 Å), based on a PBE-relaxed structure.
Intensities are scaled so that the largest is 100.

Crystal structure
```
data_TmMg
_chemical_formula_sum 'Tm1 Mg1'
_symmetry_space_group_name_H-M 'P m -3 m'
_symmetry_Int_Tables_number 221
_symmetry_space_group_name_Hall '-P 4 2 3'
_cell_length_a 3.7486
_cell_length_b 3.7486
_cell_length_c 3.7486
_cell_angle_alpha 90.00
_cell_angle_beta 90.00
_cell_angle_gamma 90.00
loop_
_atom_site_label
_atom_site_fract_x
_atom_site_fract_y
_atom_site_fract_z
Tm1 0.0000 0.0000 0.0000
Mg1 0.5000 0.5000 0.5000
```

The 10 most intense peaks (10° ≤ 2θ ≤ 90°), in order of rising 2θ:
| two_theta | d (Å) | I/Imax | hkl |
| --- | --- | --- | --- |
| 23.74 | 3.749 | 65 | 1 0 0 |
| 33.82 | 2.651 | 100 | 1 1 0 |
| 41.73 | 2.164 | 20 | 1 1 1 |
| 48.57 | 1.874 | 18 | 2 0 0 |
| 54.76 | 1.676 | 28 | 2 1 0 |
| 60.50 | 1.530 | 37 | 2 1 1 |
| 71.14 | 1.325 | 12 | 2 2 0 |
| 76.19 | 1.250 | 13 | 3 0 0 |
| 81.13 | 1.185 | 16 | 3 1 0 |
| 86.01 | 1.130 | 8 | 3 1 1 |

YEr2CoNi8: simulated powder XRD pattern (a wavelength of 1.5418 Å), based on a PBE-relaxed structure.
Intensities are scaled so that the largest is 100.

Crystal structure
```
data_YEr2CoNi8
_chemical_formula_sum 'Y3 Er6 Co3 Ni24'
_symmetry_space_group_name_H-M 'R -3 m'
_symmetry_Int_Tables_number 166
_symmetry_space_group_name_Hall '-R 3 2"'
_cell_length_a 4.9186
_cell_length_b 4.9186
_cell_length_c 24.2461
_cell_angle_alpha 90.00
_cell_angle_beta 90.00
_cell_angle_gamma 120.00
loop_
_atom_site_label
_atom_site_fract_x
_atom_site_fract_y
_atom_site_fract_z
Y1 0.0000 0.0000 0.0000
Er1 0.0000 0.0000 0.1399
Co1 0.0000 0.0000 0.5000
Ni1 0.0000 0.0000 0.3330
Ni2 0.9996 0.4998 0.0829
```

The 10 most intense peaks (10° ≤ 2θ ≤ 90°), in order of rising 2θ:
| two_theta | d (Å) | I/Imax | hkl |
| --- | --- | --- | --- |
| 33.34 | 2.688 | 47 | 1 0 7 |
| 36.38 | 2.469 | 34 | 0 1 8 |
| 36.54 | 2.459 | 50 | 1 1 0 |
| 42.61 | 2.122 | 37 | 0 2 1 |
| 43.06 | 2.101 | 100 | 1 1 6 |
| 45.12 | 2.009 | 20 | 0 2 4 |
| 46.38 | 1.958 | 24 | 0 1 11 |
| 46.57 | 1.950 | 24 | 2 0 5 |
| 70.25 | 1.340 | 24 | 3 0 6 |
| 77.65 | 1.230 | 22 | 2 2 0 |

ZnInW4C2: simulated powder XRD pattern (a wavelength of 1.5418 Å), based on a PBE-relaxed structure.
Intensities are scaled so that the largest is 100.

Crystal structure
```
data_ZnInW4C2
_chemical_formula_sum 'Zn1 In1 W4 C2'
_symmetry_space_group_name_H-M 'P -6 m 2'
_symmetry_Int_Tables_number 187
_symmetry_space_group_name_Hall 'P -6 2'
_cell_length_a 3.0769
_cell_length_b 3.0769
_cell_length_c 13.7966
_cell_angle_alpha 90.00
_cell_angle_beta 90.00
_cell_angle_gamma 120.00
loop_
_atom_site_label
_atom_site_fract_x
_atom_site_fract_y
_atom_site_fract_z
Zn1 0.0000 0.0000 0.0000
In1 0.3333 0.6667 0.5000
W1 0.0000 0.0000 0.3269
W2 0.3333 0.6667 0.1567
C1 0.6667 0.3333 0.2417
```

The 10 most intense peaks (10° ≤ 2θ ≤ 90°), in order of rising 2θ:
| two_theta | d (Å) | I/Imax | hkl |
| --- | --- | --- | --- |
| 12.83 | 6.898 | 13 | 0 0 2 |
| 33.63 | 2.665 | 23 | 1 0 0 |
| 34.27 | 2.616 | 6 | 1 0 1 |
| 39.07 | 2.306 | 100 | 1 0 3 |
| 39.18 | 2.299 | 20 | 0 0 6 |
| 52.57 | 1.741 | 14 | 1 0 6 |
| 60.15 | 1.538 | 20 | 1 1 0 |
| 70.93 | 1.329 | 15 | 1 0 9 |
| 74.13 | 1.279 | 34 | 1 1 6 |
| 83.94 | 1.153 | 4 | 2 0 6 |

Sr2AsPAu2: simulated powder XRD pattern (a wavelength of 1.5418 Å), based on a PBE-relaxed structure.
Intensities are scaled so that the largest is 100.

Crystal structure
```
data_Sr2AsPAu2
_chemical_formula_sum 'Sr2 As1 P1 Au2'
_symmetry_space_group_name_H-M 'P 3 m 1'
_symmetry_Int_Tables_number 156
_symmetry_space_group_name_Hall 'P 3 -2"'
_cell_length_a 4.4555
_cell_length_b 4.4555
_cell_length_c 8.5673
_cell_angle_alpha 90.00
_cell_angle_beta 90.00
_cell_angle_gamma 120.00
loop_
_atom_site_label
_atom_site_fract_x
_atom_site_fract_y
_atom_site_fract_z
Sr1 0.0000 0.0000 0.0000
Sr2 0.0000 0.0000 0.4929
As1 0.3333 0.6667 0.7448
P1 0.6667 0.3333 0.2450
Au1 0.3333 0.6667 0.2473
Au2 0.6667 0.3333 0.7475
```

The 10 most intense peaks (10° ≤ 2θ ≤ 90°), in order of rising 2θ:
| two_theta | d (Å) | I/Imax | hkl |
| --- | --- | --- | --- |
| 20.74 | 4.284 | 26 | 0 0 2 |
| 25.32 | 3.518 | 55 | 0 1 1 |
| 31.20 | 2.867 | 100 | 0 1 2 |
| 39.25 | 2.295 | 18 | 0 1 3 |
| 40.49 | 2.228 | 62 | 1 1 0 |
| 42.19 | 2.142 | 18 | 0 0 4 |
| 45.92 | 1.976 | 20 | 1 1 2 |
| 51.99 | 1.759 | 24 | 2 0 2 |
| 59.91 | 1.544 | 39 | 1 1 4 |
| 67.89 | 1.381 | 21 | 1 2 2 |

Cu2PdAu: simulated powder XRD pattern (a wavelength of 1.5418 Å), based on a PBE-relaxed structure.
Intensities are scaled so that the largest is 100.

Crystal structure
```
data_Cu2PdAu
_chemical_formula_sum 'Cu4 Pd2 Au2'
_symmetry_space_group_name_H-M 'P m m n'
_symmetry_Int_Tables_number 59
_cell_length_a 4.4356
_cell_length_b 5.7294
_cell_length_c 4.4941
_cell_angle_alpha 90.00
_cell_angle_beta 90.00
_cell_angle_gamma 90.00
loop_
_symmetry_equiv_pos_as_xyz
'x,y,z'
'-x,-y,-z'
'-x+1/2,-y+1/2,z'
'x+1/2,y+1/2,-z'
'x+1/2,-y,-z'
'-x+1/2,y,z'
'-x,y+1/2,-z'
'x,-y+1/2,z'
loop_
_atom_site_label
_atom_site_fract_x
_atom_site_fract_y
_atom_site_fract_z
Cu1 0.2500 0.0000 0.2013
Pd1 0.2500 0.2500 0.7079
Au1 0.2500 0.7500 0.7062
```

The 10 most intense peaks (10° ≤ 2θ ≤ 90°), in order of rising 2θ:
| two_theta | d (Å) | I/Imax | hkl |
| --- | --- | --- | --- |
| 28.27 | 3.157 | 22 | 1 0 1 |
| 31.22 | 2.865 | 9 | 0 2 0 |
| 40.13 | 2.247 | 23 | 0 0 2 |
| 40.68 | 2.218 | 31 | 2 0 0 |
| 42.62 | 2.121 | 100 | 1 2 1 |
| 45.24 | 2.005 | 13 | 1 0 2 |
| 58.47 | 1.578 | 15 | 2 0 2 |
| 74.63 | 1.272 | 9 | 1 2 3 |
| 75.37 | 1.261 | 18 | 3 2 1 |
| 85.19 | 1.139 | 8 | 2 2 3 |

PmSb2: simulated powder XRD pattern (a wavelength of 1.5418 Å), based on a PBE-relaxed structure.
Intensities are scaled so that the largest is 100.

Crystal structure
Lattice parameters (Å, degrees): 8.8913 8.8913 8.8913 90.00 90.00 90.00
Space group Fd-3m (No. 227, origin choice 2)
Unique sites:
Pm 0.1250 0.1250 0.1250 x8
Sb 0.0000 0.0000 0.5000 x16

The 10 most intense peaks (10° ≤ 2θ ≤ 90°), in order of rising 2θ:
| two_theta | d (Å) | I/Imax | hkl |
| --- | --- | --- | --- |
| 28.39 | 3.144 | 33 | 2 2 0 |
| 33.42 | 2.681 | 100 | 3 1 1 |
| 34.96 | 2.567 | 34 | 2 2 2 |
| 50.27 | 1.815 | 14 | 4 2 2 |
| 53.56 | 1.711 | 35 | 5 1 1 |
| 58.74 | 1.572 | 29 | 4 4 0 |
| 69.30 | 1.356 | 12 | 5 3 3 |
| 70.22 | 1.340 | 13 | 6 2 2 |
| 80.91 | 1.188 | 7 | 6 4 2 |
| 83.52 | 1.158 | 22 | 7 3 1 |

NdTmTe6: simulated powder XRD pattern (a wavelength of 1.5418 Å), based on a PBE-relaxed structure.
Intensities are scaled so that the largest is 100.

Crystal structure
```
data_NdTmTe6
_chemical_formula_sum 'Nd2 Tm2 Te12'
_symmetry_space_group_name_H-M 'A m m 2'
_symmetry_Int_Tables_number 38
_symmetry_space_group_name_Hall 'A 2 -2'
_cell_length_a 4.3480
_cell_length_b 4.3467
_cell_length_c 26.5692
_cell_angle_alpha 90.00
_cell_angle_beta 90.00
_cell_angle_gamma 90.00
loop_
_atom_site_label
_atom_site_fract_x
_atom_site_fract_y
_atom_site_fract_z
Nd1 0.0000 0.0000 0.0000
Tm1 0.5000 0.0000 0.3423
Te1 0.0000 0.0000 0.2483
Te2 0.0000 0.0000 0.5972
Te3 0.0000 0.0000 0.8756
Te4 0.5000 0.0000 0.0972
Te5 0.5000 0.0000 0.4616
Te6 0.5000 0.0000 0.7484
```

The 10 most intense peaks (10° ≤ 2θ ≤ 90°), in order of rising 2θ:
| two_theta | d (Å) | I/Imax | hkl |
| --- | --- | --- | --- |
| 26.84 | 3.321 | 41 | 0 0 8 |
| 29.25 | 3.054 | 20 | 1 1 1 |
| 30.79 | 2.904 | 100 | 1 1 3 |
| 33.68 | 2.661 | 49 | 1 1 5 |
| 37.65 | 2.389 | 26 | 1 1 7 |
| 41.55 | 2.174 | 52 | 2 0 0 |
| 50.16 | 1.819 | 29 | 2 0 8 |
| 60.23 | 1.537 | 21 | 2 2 0 |
| 67.14 | 1.394 | 22 | 2 2 8 |
| 69.15 | 1.358 | 21 | 3 1 3 |